The following is a simulated X-ray diffraction stick pattern of Li5VP4O14. It was derived from the GGA+U geometry in the Materials Project, using copper Kα.
Lines closer than 0.1° are merged.

Structural model:
Lattice parameters (Å, degrees): 7.0862 8.8271 9.1409 76.96 77.47 69.68
Atoms (fractional coordinates):
Li1 0.0363 0.0252 0.1345
Li2 0.2335 0.7443 0.5925
Li3 0.2420 0.2410 0.8839
Li4 0.3058 0.6836 0.2775
Li5 0.4173 0.9780 0.3495
Li6 0.5827 0.0220 0.6505
Li7 0.6942 0.3164 0.7225
Li8 0.7580 0.7590 0.1161
Li9 0.7665 0.2557 0.4075
Li10 0.9637 0.9748 0.8655
V1 0.1294 0.3745 0.2361
V2 0.8706 0.6255 0.7639
P1 0.1318 0.1175 0.5711
P2 0.1688 0.6187 0.9834
P3 0.3056 0.3914 0.5491
P4 0.4140 0.8379 0.9512
P5 0.5860 0.1621 0.0488
P6 0.6944 0.6086 0.4509
P7 0.8312 0.3813 0.0166
P8 0.8682 0.8825 0.4289
O1 0.0295 0.7290 0.8663
O2 0.0684 0.8784 0.3271
O3 0.0793 0.6413 0.1494
O4 0.0961 0.1921 0.4057
O5 0.1754 0.5205 0.6495
O6 0.2191 0.9838 0.9284
O7 0.2226 0.4344 0.9901
O8 0.2344 0.2293 0.6278
O9 0.2676 0.4392 0.3829
O10 0.2962 0.9509 0.5750
O11 0.3700 0.6707 0.9333
O12 0.4049 0.1618 0.1775
O13 0.4606 0.8122 0.1116
O14 0.4711 0.6694 0.4330
O15 0.5289 0.3306 0.5670
O16 0.5394 0.1878 0.8884
O17 0.5951 0.8382 0.8225
O18 0.6300 0.3293 0.0667
O19 0.7038 0.0491 0.4250
O20 0.7324 0.5608 0.6171
O21 0.7656 0.7707 0.3722
O22 0.7774 0.5656 0.0099
O23 0.7809 0.0162 0.0716
O24 0.8246 0.4795 0.3505
O25 0.9039 0.8079 0.5943
O26 0.9207 0.3587 0.8506
O27 0.9316 0.1216 0.6729
O28 0.9705 0.2710 0.1337

Top 8 peaks for 2θ from 15° to 90°, sorted by position:
(hkl)	2theta	Rel. int.
0 0 2	20.2	29
1 2 1	21.5	33
1 -1 1	22.2	26
-1 1 1	22.4	100
1 3 1	30.6	26
2 2 2	30.8	46
1 0 3	31.4	35
1 3 -1	35.3	37